(1)
Simulated PXRD pattern
Compound: Dy2PN4
Radiation: CuKα
Structure: DFT lattice parameters and positions (PBE)
Kinematic intensities with the Lorentz-polarization factor, no thermal factor.

Crystal structure
abc: 7.875 6.880 5.844
angles: 75.98 57.96 46.06
Fractional coordinates of all 14 atoms:
1 Dy 0.062 0.688 0.062
2 Dy 0.312 0.938 0.312
3 Dy 0.688 0.062 0.688
4 Dy 0.938 0.312 0.938
5 P 0.375 0.375 0.375
6 P 0.625 0.625 0.625
7 N 0.177 0.706 0.363
8 N 0.255 0.363 0.706
9 N 0.294 0.823 0.745
10 N 0.363 0.255 0.177
11 N 0.637 0.745 0.823
12 N 0.706 0.177 0.255
13 N 0.745 0.637 0.294
14 N 0.823 0.294 0.637

Principal peaks in the range 15° ≤ 2θ ≤ 90°, in order of rising 2θ:
| d [Å] | I (rel.) |
| --- | --- |
| 3.847 | 65 |
| 3.066 | 66 |
| 2.834 | 100 |
| 2.781 | 96 |
| 2.639 | 30 |
| 2.372 | 44 |
| 2.000 | 25 |
| 1.876 | 36 |
| 1.741 | 25 |
| 1.710 | 43 |


(2)
Simulated PXRD pattern
Compound: DyPa2P2N6
Radiation: CuKα
Structure: DFT lattice parameters and positions (PBE)
Kinematic intensities with the Lorentz-polarization factor, no thermal factor.

Crystal structure
abc: 5.632 5.632 5.744
angles: 90.00 90.00 120.00
Fractional coordinates of all 11 atoms:
1 Dy 0.000 0.000 0.000
2 Pa 0.333 0.667 0.631
3 Pa 0.667 0.333 0.369
4 P 0.333 0.667 0.134
5 P 0.667 0.333 0.866
6 N 0.075 0.379 0.260
7 N 0.303 0.925 0.260
8 N 0.379 0.303 0.740
9 N 0.621 0.697 0.260
10 N 0.697 0.075 0.740
11 N 0.925 0.621 0.740

Principal peaks in the range 15° ≤ 2θ ≤ 90°, in order of rising 2θ:
| d [Å] | I (rel.) |
| --- | --- |
| 3.718 | 100 |
| 2.816 | 75 |
| 2.475 | 59 |
| 2.245 | 32 |
| 1.859 | 26 |
| 1.755 | 29 |
| 1.626 | 18 |
| 1.583 | 15 |
| 1.551 | 28 |
| 1.224 | 13 |


(3)
Simulated PXRD pattern
Compound: DyPa2PN6
Radiation: CuKα
Structure: DFT lattice parameters and positions (PBE)
Kinematic intensities with the Lorentz-polarization factor, no thermal factor.

Crystal structure
abc: 5.249 5.249 4.994
angles: 90.00 90.00 90.00
Fractional coordinates of all 10 atoms:
1 Dy 0.000 0.000 0.000
2 Pa 0.000 0.500 0.443
3 Pa 0.500 0.000 0.443
4 P 0.500 0.500 0.053
5 N 0.000 0.000 0.554
6 N 0.277 0.277 0.181
7 N 0.277 0.723 0.181
8 N 0.500 0.500 0.716
9 N 0.723 0.277 0.181
10 N 0.723 0.723 0.181

Principal peaks in the range 15° ≤ 2θ ≤ 90°, in order of rising 2θ:
| d [Å] | I (rel.) |
| --- | --- |
| 4.994 | 21 |
| 3.712 | 11 |
| 2.979 | 100 |
| 2.624 | 36 |
| 2.497 | 12 |
| 2.323 | 11 |
| 2.072 | 13 |
| 1.856 | 17 |
| 1.809 | 25 |
| 1.575 | 31 |


(4)
Simulated PXRD pattern
Compound: DyPa3P4N12
Radiation: CuKα
Structure: DFT lattice parameters and positions (PBE)
Kinematic intensities with the Lorentz-polarization factor, no thermal factor.

Crystal structure
abc: 6.887 6.887 6.887
angles: 103.57 103.57 103.57
Fractional coordinates of all 20 atoms:
1 Dy 0.000 0.000 0.000
2 Pa 0.000 0.539 0.461
3 Pa 0.461 0.000 0.539
4 Pa 0.539 0.461 0.000
5 P 0.039 0.500 0.961
6 P 0.500 0.500 0.500
7 P 0.500 0.961 0.039
8 P 0.961 0.039 0.500
9 N 0.026 0.647 0.814
10 N 0.108 0.892 0.500
11 N 0.186 0.353 0.974
12 N 0.353 0.647 0.500
13 N 0.353 0.974 0.186
14 N 0.500 0.108 0.892
15 N 0.500 0.353 0.647
16 N 0.647 0.500 0.353
17 N 0.647 0.814 0.026
18 N 0.814 0.026 0.647
19 N 0.892 0.500 0.108
20 N 0.974 0.186 0.353

Principal peaks in the range 15° ≤ 2θ ≤ 90°, in order of rising 2θ:
| d [Å] | I (rel.) |
| --- | --- |
| 5.411 | 17 |
| 4.125 | 87 |
| 3.280 | 17 |
| 3.186 | 100 |
| 2.705 | 40 |
| 2.490 | 17 |
| 2.231 | 17 |
| 2.062 | 17 |
| 1.977 | 26 |
| 1.971 | 26 |


(5)
Simulated PXRD pattern
Compound: DyPuPa2N5
Radiation: CuKα
Structure: DFT lattice parameters and positions (PBE)
Kinematic intensities with the Lorentz-polarization factor, no thermal factor.

Crystal structure
abc: 7.159 7.159 11.448
angles: 90.00 90.00 150.67
Fractional coordinates of all 18 atoms:
1 Dy 0.249 0.751 0.500
2 Dy 0.751 0.249 0.000
3 Pu 0.015 0.985 0.015
4 Pu 0.985 0.015 0.515
5 Pa 0.355 0.645 0.766
6 Pa 0.371 0.629 0.230
7 Pa 0.629 0.371 0.730
8 Pa 0.645 0.355 0.266
9 N 0.111 0.889 0.375
10 N 0.122 0.878 0.623
11 N 0.199 0.801 0.859
12 N 0.215 0.785 0.151
13 N 0.475 0.525 0.636
14 N 0.525 0.475 0.136
15 N 0.785 0.215 0.651
16 N 0.801 0.199 0.359
17 N 0.878 0.122 0.123
18 N 0.889 0.111 0.875

Principal peaks in the range 15° ≤ 2θ ≤ 90°, in order of rising 2θ:
| d [Å] | I (rel.) |
| --- | --- |
| 2.990 | 90 |
| 2.963 | 100 |
| 2.862 | 39 |
| 2.851 | 45 |
| 2.582 | 16 |
| 2.020 | 40 |
| 1.812 | 17 |
| 1.671 | 15 |
| 1.662 | 21 |
| 1.546 | 30 |


(6)
Simulated PXRD pattern
Compound: DyPaSe2N
Radiation: CuKα
Structure: DFT lattice parameters and positions (PBE)
Kinematic intensities with the Lorentz-polarization factor, no thermal factor.

Crystal structure
abc: 3.940 3.940 13.936
angles: 90.00 90.00 90.00
Fractional coordinates of all 10 atoms:
1 Dy 0.250 0.250 0.099
2 Dy 0.750 0.750 0.901
3 Pa 0.250 0.250 0.585
4 Pa 0.750 0.750 0.415
5 Se 0.250 0.250 0.309
6 Se 0.250 0.250 0.887
7 Se 0.750 0.750 0.113
8 Se 0.750 0.750 0.691
9 N 0.250 0.750 0.500
10 N 0.750 0.250 0.500

Principal peaks in the range 15° ≤ 2θ ≤ 90°, in order of rising 2θ:
| d [Å] | I (rel.) |
| --- | --- |
| 3.484 | 28 |
| 3.429 | 55 |
| 3.005 | 26 |
| 2.786 | 100 |
| 2.610 | 68 |
| 2.176 | 37 |
| 1.970 | 42 |
| 1.784 | 24 |
| 1.572 | 30 |
| 1.246 | 27 |


(7)
Simulated PXRD pattern
Compound: DyPa2ZnN5
Radiation: CuKα
Structure: DFT lattice parameters and positions (PBE)
Kinematic intensities with the Lorentz-polarization factor, no thermal factor.

Crystal structure
abc: 6.962 6.962 10.921
angles: 90.00 90.00 150.95
Fractional coordinates of all 18 atoms:
1 Dy 0.194 0.806 0.500
2 Dy 0.806 0.194 0.000
3 Pa 0.120 0.880 0.777
4 Pa 0.139 0.861 0.200
5 Pa 0.861 0.139 0.700
6 Pa 0.880 0.120 0.277
7 Zn 0.493 0.507 0.510
8 Zn 0.507 0.493 0.010
9 N 0.036 0.964 0.594
10 N 0.296 0.704 0.843
11 N 0.301 0.699 0.167
12 N 0.350 0.650 0.576
13 N 0.477 0.523 0.323
14 N 0.523 0.477 0.823
15 N 0.650 0.350 0.076
16 N 0.699 0.301 0.667
17 N 0.704 0.296 0.343
18 N 0.964 0.036 0.094

Principal peaks in the range 15° ≤ 2θ ≤ 90°, in order of rising 2θ:
| d [Å] | I (rel.) |
| --- | --- |
| 5.460 | 22 |
| 3.376 | 51 |
| 3.203 | 51 |
| 2.870 | 100 |
| 2.757 | 64 |
| 2.730 | 23 |
| 2.477 | 62 |
| 1.987 | 23 |
| 1.940 | 29 |
| 1.611 | 31 |


(8)
Simulated PXRD pattern
Compound: Dy4Pb2N
Radiation: CuKα
Structure: DFT lattice parameters and positions (PBE)
Kinematic intensities with the Lorentz-polarization factor, no thermal factor.

Crystal structure
abc: 8.708 8.708 8.708
angles: 148.33 148.33 45.39
Fractional coordinates of all 7 atoms:
1 Dy 0.000 0.500 0.500
2 Dy 0.156 0.156 0.000
3 Dy 0.500 0.000 0.500
4 Dy 0.844 0.844 0.000
5 Pb 0.355 0.355 0.000
6 Pb 0.645 0.645 0.000
7 N 0.000 0.000 0.000

Principal peaks in the range 15° ≤ 2θ ≤ 90°, in order of rising 2θ:
| d [Å] | I (rel.) |
| --- | --- |
| 3.360 | 22 |
| 3.100 | 57 |
| 2.678 | 28 |
| 2.577 | 100 |
| 2.376 | 56 |
| 1.777 | 34 |
| 1.680 | 20 |
| 1.449 | 21 |
| 1.407 | 32 |
| 1.097 | 19 |


(9)
Simulated PXRD pattern
Compound: Dy4TlPbN
Radiation: CuKα
Structure: DFT lattice parameters and positions (PBE)
Kinematic intensities with the Lorentz-polarization factor, no thermal factor.

Crystal structure
abc: 8.725 8.725 6.683
angles: 90.00 90.00 134.97
Fractional coordinates of all 14 atoms:
1 Dy 0.000 0.500 0.000
2 Dy 0.000 0.500 0.500
3 Dy 0.087 0.913 0.750
4 Dy 0.408 0.592 0.750
5 Dy 0.500 0.000 0.000
6 Dy 0.500 0.000 0.500
7 Dy 0.592 0.408 0.250
8 Dy 0.913 0.087 0.250
9 Tl 0.110 0.890 0.250
10 Tl 0.890 0.110 0.750
11 Pb 0.394 0.606 0.250
12 Pb 0.606 0.394 0.750
13 N 0.252 0.748 0.750
14 N 0.748 0.252 0.250

Principal peaks in the range 15° ≤ 2θ ≤ 90°, in order of rising 2θ:
| d [Å] | I (rel.) |
| --- | --- |
| 3.341 | 23 |
| 3.087 | 60 |
| 2.687 | 29 |
| 2.572 | 100 |
| 2.363 | 58 |
| 1.774 | 34 |
| 1.671 | 20 |
| 1.452 | 19 |
| 1.419 | 16 |
| 1.401 | 35 |


(10)
Simulated PXRD pattern
Compound: Pm4Dy2N
Radiation: CuKα
Structure: DFT lattice parameters and positions (PBE)
Kinematic intensities with the Lorentz-polarization factor, no thermal factor.

Crystal structure
abc: 9.491 9.491 9.491
angles: 149.72 149.72 43.36
Fractional coordinates of all 7 atoms:
1 Pm 0.000 0.500 0.500
2 Pm 0.135 0.135 0.000
3 Pm 0.500 0.000 0.500
4 Pm 0.865 0.865 0.000
5 Dy 0.335 0.335 0.000
6 Dy 0.665 0.665 0.000
7 N 0.000 0.000 0.000

Principal peaks in the range 15° ≤ 2θ ≤ 90°, in order of rising 2θ:
| d [Å] | I (rel.) |
| --- | --- |
| 3.506 | 20 |
| 3.258 | 65 |
| 2.940 | 30 |
| 2.744 | 100 |
| 2.479 | 59 |
| 1.895 | 34 |
| 1.753 | 21 |
| 1.544 | 15 |
| 1.506 | 16 |
| 1.477 | 31 |


(11)
Simulated PXRD pattern
Compound: PmDy5N6
Radiation: CuKα
Structure: DFT lattice parameters and positions (PBE)
Kinematic intensities with the Lorentz-polarization factor, no thermal factor.

Crystal structure
abc: 6.059 6.059 6.057
angles: 99.59 99.59 120.01
Fractional coordinates of all 12 atoms:
1 Pm 0.000 0.000 0.000
2 Dy 0.168 0.832 0.500
3 Dy 0.333 0.667 0.000
4 Dy 0.500 0.500 0.500
5 Dy 0.667 0.333 0.000
6 Dy 0.832 0.168 0.500
7 N 0.084 0.423 0.253
8 N 0.255 0.255 0.747
9 N 0.423 0.084 0.253
10 N 0.577 0.916 0.747
11 N 0.745 0.745 0.253
12 N 0.916 0.577 0.747

Principal peaks in the range 15° ≤ 2θ ≤ 90°, in order of rising 2θ:
| d [Å] | I (rel.) |
| --- | --- |
| 2.856 | 100 |
| 2.473 | 72 |
| 1.749 | 49 |
| 1.492 | 45 |
| 1.428 | 17 |
| 1.237 | 8 |
| 1.135 | 16 |
| 1.135 | 3 |
| 1.106 | 22 |


(12)
Simulated PXRD pattern
Compound: PmDy2SbN4
Radiation: CuKα
Structure: DFT lattice parameters and positions (PBE)
Kinematic intensities with the Lorentz-polarization factor, no thermal factor.

Crystal structure
abc: 6.960 6.960 11.486
angles: 90.00 90.00 152.33
Fractional coordinates of all 16 atoms:
1 Pm 0.239 0.761 0.750
2 Pm 0.761 0.239 0.250
3 Dy 0.369 0.631 0.004
4 Dy 0.369 0.631 0.496
5 Dy 0.631 0.369 0.504
6 Dy 0.631 0.369 0.996
7 Sb 0.012 0.988 0.250
8 Sb 0.988 0.012 0.750
9 N 0.000 0.000 0.000
10 N 0.000 0.000 0.500
11 N 0.212 0.788 0.107
12 N 0.212 0.788 0.393
13 N 0.409 0.591 0.250
14 N 0.591 0.409 0.750
15 N 0.788 0.212 0.607
16 N 0.788 0.212 0.893

Principal peaks in the range 15° ≤ 2θ ≤ 90°, in order of rising 2θ:
| d [Å] | I (rel.) |
| --- | --- |
| 2.912 | 100 |
| 2.872 | 56 |
| 2.817 | 63 |
| 2.677 | 30 |
| 2.607 | 15 |
| 2.098 | 22 |
| 1.958 | 29 |
| 1.694 | 16 |
| 1.665 | 33 |
| 1.445 | 28 |


(13)
Simulated PXRD pattern
Compound: Pm2DyTe2N2
Radiation: CuKα
Structure: DFT lattice parameters and positions (PBE)
Kinematic intensities with the Lorentz-polarization factor, no thermal factor.

Crystal structure
abc: 8.734 8.734 8.734
angles: 150.71 150.71 41.90
Fractional coordinates of all 7 atoms:
1 Pm 0.103 0.103 0.000
2 Pm 0.897 0.897 0.000
3 Dy 0.500 0.500 0.000
4 Te 0.313 0.313 0.000
5 Te 0.687 0.687 0.000
6 N 0.000 0.500 0.500
7 N 0.500 0.000 0.500

Principal peaks in the range 15° ≤ 2θ ≤ 90°, in order of rising 2θ:
| d [Å] | I (rel.) |
| --- | --- |
| 3.122 | 78 |
| 2.624 | 100 |
| 2.208 | 35 |
| 1.689 | 53 |
| 1.561 | 12 |
| 1.446 | 12 |
| 1.396 | 14 |
| 1.342 | 12 |
| 1.312 | 10 |
| 1.147 | 15 |